Structure and theoretical powder XRD pattern of Li4CrFe3O8 (the GGA+U geometry in the Materials Project; Cu Kα X-rays).

```
data_Li4CrFe3O8
_chemical_formula_sum 'Li8 Cr2 Fe6 O16'
_cell_length_a 5.2020
_cell_length_b 5.9695
_cell_length_c 10.3369
_cell_angle_alpha 89.95
_cell_angle_beta 80.42
_cell_angle_gamma 73.22
_symmetry_space_group_name_H-M 'P -1'
_symmetry_Int_Tables_number 2
loop_
_symmetry_equiv_pos_as_xyz
'x,y,z'
'-x,-y,-z'
loop_
_atom_site_label
_atom_site_fract_x
_atom_site_fract_y
_atom_site_fract_z
_atom_site_occupancy
Li1 0.0000 0.0000 0.0000 1
Li2 0.0000 0.0000 0.5000 1
Li3 0.0000 0.2494 0.2505 1
Li4 0.0000 0.5000 0.0000 1
Li5 0.0000 0.5000 0.5000 1
Li6 0.0017 0.2493 0.7500 1
Cr1 0.4992 0.1248 0.3760 1
Fe1 0.4995 0.6248 0.3755 1
Fe2 0.5000 0.1247 0.8742 1
Fe3 0.4996 0.3747 0.1257 1
O1 0.2711 0.1819 0.0607 1
O2 0.2713 0.4312 0.3123 1
O3 0.2713 0.4323 0.8103 1
O4 0.2711 0.6826 0.0612 1
O5 0.2734 0.9332 0.3118 1
O6 0.2740 0.1804 0.5600 1
O7 0.2739 0.6836 0.5610 1
O8 0.2736 0.9316 0.8086 1
```

The 10 most intense peaks (2θ = 5–70°), by intensity:
| 2theta | I_rel | index |
| --- | --- | --- |
| 18.1 | 100 | 1 0 0 |
| 42.8 | 81 | 2 2 2 |
| 35.3 | 42 | 0 0 4 |
| 62.2 | 22 | 1 4 0 |
| 61.9 | 22 | 3 0 4 |
| 65.4 | 14 | 2 4 0 |
| 36.9 | 13 | 1 0 4 |
| 56.4 | 9 | 3 2 2 |
| 46.8 | 9 | 2 2 -2 |
| 46.8 | 5 | -1 2 2 |